(1)
The following is a simulated XRD peak list of Tl2Cd16In. It was derived from a cell relaxed with GGA-PBE, using λ = 1.5418 Å (Cu Kα).
Lines closer than 0.1° are merged.

Structural model:
Cell lengths 7.829, 7.829, 7.829 Å; angles 83.56, 83.56, 83.56 degrees
Fractional coordinates of all 19 atoms:
Tl1 0.000 0.000 0.000
Tl2 0.313 0.313 0.313
Cd1 0.014 0.014 0.498
Cd2 0.014 0.498 0.014
Cd3 0.153 0.662 0.662
Cd4 0.302 0.302 0.819
Cd5 0.302 0.819 0.302
Cd6 0.355 0.658 0.962
Cd7 0.355 0.962 0.658
Cd8 0.498 0.014 0.014
Cd9 0.658 0.355 0.962
Cd10 0.658 0.962 0.355
Cd11 0.662 0.153 0.662
Cd12 0.662 0.662 0.153
Cd13 0.762 0.762 0.762
Cd14 0.819 0.302 0.302
Cd15 0.962 0.355 0.658
Cd16 0.962 0.658 0.355
In1 0.554 0.554 0.554

Largest 6 diffraction maxima, in order of rising 2θ, 10 to 80 degrees two-theta:
2θ (°)	Rel. int.
29.66	39
30.99	30
34.39	59
34.77	100
35.92	49
38.95	46

---

(2)
The following is a simulated XRD peak list of Tl2Cd5In5. It was derived from a cell relaxed with GGA-PBE, using λ = 1.5418 Å (Cu Kα).
Lines closer than 0.1° are merged.

Structural model:
Cell lengths 5.683, 5.737, 10.004 Å; angles 104.24, 90.73, 97.78 degrees
Fractional coordinates of all 12 atoms:
Tl1 0.004 0.018 0.173
Tl2 0.996 0.982 0.827
Cd1 0.000 0.000 0.500
Cd2 0.239 0.515 0.419
Cd3 0.250 0.509 0.079
Cd4 0.750 0.491 0.921
Cd5 0.761 0.485 0.581
In1 0.266 0.485 0.744
In2 0.496 0.016 0.342
In3 0.500 0.000 0.000
In4 0.504 0.984 0.658
In5 0.734 0.515 0.256

Largest 6 diffraction maxima, in order of rising 2θ, 10 to 80 degrees two-theta:
2θ (°)	Rel. int.
32.59	100
33.08	49
33.66	46
37.54	33
37.96	33
39.29	30

---

(3)
The following is a simulated XRD peak list of TlCdIn. It was derived from a cell relaxed with GGA-PBE, using λ = 1.5418 Å (Cu Kα).
Lines closer than 0.1° are merged.

Structural model:
Cell lengths 5.355, 5.355, 3.338 Å; angles 90.00, 90.00, 120.00 degrees
Fractional coordinates of all 3 atoms:
Tl1 0.000 0.000 0.000
Cd1 0.667 0.333 0.502
In1 0.333 0.667 0.501

Largest 6 diffraction maxima, in order of rising 2θ, 10 to 80 degrees two-theta:
2θ (°)	Rel. int.
33.06	100
33.47	91
47.76	36
59.57	37
59.83	17
65.95	25

---

(4)
The following is a simulated XRD peak list of TlCdIn2. It was derived from a cell relaxed with GGA-PBE, using λ = 1.5418 Å (Cu Kα).
Lines closer than 0.1° are merged.

Structural model:
Cell lengths 3.379, 3.379, 11.028 Å; angles 90.00, 90.00, 120.00 degrees
Fractional coordinates of all 4 atoms:
Tl1 0.000 0.000 0.000
Cd1 0.333 0.667 0.483
In1 0.000 0.000 0.715
In2 0.667 0.333 0.253

Largest 6 diffraction maxima, in order of rising 2θ, 10 to 80 degrees two-theta:
2θ (°)	Rel. int.
31.63	100
32.48	39
34.71	40
39.36	79
54.30	31
64.71	32

---

(5)
The following is a simulated XRD peak list of TlCdIn. It was derived from a cell relaxed with GGA-PBE, using λ = 1.5418 Å (Cu Kα).
Lines closer than 0.1° are merged.

Structural model:
Cell lengths 3.446, 5.537, 8.693 Å; angles 90.03, 99.59, 90.03 degrees
Fractional coordinates of all 6 atoms:
Tl1 0.000 0.000 0.000
Tl2 0.448 0.500 0.881
Cd1 0.352 0.002 0.653
Cd2 0.816 0.503 0.561
In1 0.185 0.501 0.239
In2 0.718 0.002 0.344

Largest 6 diffraction maxima, in order of rising 2θ, 10 to 80 degrees two-theta:
2θ (°)	Rel. int.
30.74	22
31.31	21
32.34	74
34.05	100
34.84	87
35.35	81

---

(6)
The following is a simulated XRD peak list of Tl6CdIn3. It was derived from a cell relaxed with GGA-PBE, using λ = 1.5418 Å (Cu Kα).
Lines closer than 0.1° are merged.

Structural model:
Cell lengths 12.586, 3.341, 14.221 Å; angles 90.00, 102.87, 90.00 degrees
Fractional coordinates of all 20 atoms:
Tl1 0.012 0.250 0.194
Tl2 0.169 0.750 0.386
Tl3 0.234 0.250 0.806
Tl4 0.288 0.250 0.211
Tl5 0.308 0.250 0.590
Tl6 0.381 0.750 0.018
Tl7 0.619 0.250 0.982
Tl8 0.692 0.750 0.410
Tl9 0.712 0.750 0.789
Tl10 0.766 0.750 0.194
Tl11 0.831 0.250 0.614
Tl12 0.988 0.750 0.806
Cd1 0.459 0.750 0.789
Cd2 0.541 0.250 0.211
In1 0.072 0.750 0.597
In2 0.124 0.250 0.003
In3 0.435 0.750 0.404
In4 0.565 0.250 0.596
In5 0.876 0.750 0.997
In6 0.928 0.250 0.403

Largest 6 diffraction maxima, in order of rising 2θ, 10 to 80 degrees two-theta:
2θ (°)	Rel. int.
31.21	100
31.84	67
32.29	82
32.93	29
34.51	60
38.01	44